This entry pairs a crystal structure of Mg2Sc2AgHg3 with its computed powder X-ray diffraction pattern. Radiation: CuKα. Structure: a DFT-relaxed cell (GGA-PBE, OQMD).
Peak positions follow from Bragg's law for the DFT cell and can differ from measured ones.

Peak list (10 most intense, 10° ≤ 2θ ≤ 80°, by angle)
h k l, 2θ (°), I (rel.)
1 1 0, 25.74, 56
0 0 2, 25.98, 27
2 0 0, 36.73, 51
1 1 2, 36.90, 100
2 0 2, 45.54, 25
2 2 0, 52.92, 18
3 1 0, 59.75, 12
2 2 2, 59.87, 11
3 1 2, 66.26, 36
2 0 4, 66.59, 18

Atomic structure:
Cell lengths 4.8939, 4.8939, 6.8591 Å; angles 90.00, 90.00, 90.00 degrees
Atoms (fractional coordinates):
Mg 0.0000 0.5000 0.2434
Mg 0.5000 0.0000 0.7566
Sc 0.0000 0.5000 0.7519
Sc 0.5000 0.0000 0.2481
Ag 0.5000 0.5000 0.0000
Hg 0.0000 0.0000 0.0000
Hg 0.0000 0.0000 0.5000
Hg 0.5000 0.5000 0.5000